Computed XRD peak list of Ag5GeO4 for copper Kα, from a DFT-relaxed cell (PBE, Alexandria).
Neutral-atom scattering factors, no anomalous dispersion.

The 6 most intense peaks (10 to 80 degrees two-theta), sorted by position:
33.81°, I = 51
33.92°, I = 76
34.03°, I = 100
35.69°, I = 57
40.76°, I = 22
49.98°, I = 23

Crystal structure
```
Ag5GeO4
1.0
6.548 0.000 0.000
0.000 10.061 0.000
-6.374 0.000 9.278
Ag Ge O
20 4 16
Direct
0.075 0.084 0.409
0.075 0.416 0.909
0.199 0.623 0.424
0.199 0.877 0.924
0.323 0.093 0.801
0.323 0.407 0.301
0.347 0.125 0.057
0.347 0.375 0.557
0.397 0.645 0.121
0.397 0.855 0.621
0.603 0.145 0.379
0.603 0.355 0.879
0.653 0.625 0.443
0.653 0.875 0.943
0.677 0.593 0.699
0.677 0.907 0.199
0.801 0.123 0.076
0.801 0.377 0.576
0.925 0.584 0.091
0.925 0.916 0.591
0.249 0.614 0.759
0.249 0.886 0.259
0.751 0.114 0.741
0.751 0.386 0.241
0.081 0.710 0.596
0.081 0.790 0.096
0.118 0.640 0.861
0.118 0.860 0.361
0.222 0.061 0.222
0.222 0.439 0.722
0.431 0.157 0.643
0.431 0.343 0.143
0.569 0.657 0.857
0.569 0.843 0.357
0.778 0.561 0.278
0.778 0.939 0.778
0.882 0.140 0.639
0.882 0.360 0.139
0.919 0.210 0.904
0.919 0.290 0.404
```

---

Computed XRD peak list of Ag5GeO4 for copper Kα, from a DFT-relaxed cell (PBE, Alexandria).
Neutral-atom scattering factors, no anomalous dispersion.

The 6 most intense peaks (10 to 80 degrees two-theta), sorted by position:
33.32°, I = 49
33.93°, I = 49
35.51°, I = 100
38.36°, I = 50
41.00°, I = 84
57.80°, I = 25

Crystal structure
```
Ag5GeO4
1.0
7.254 -1.500 0.000
7.254 1.500 0.000
-1.565 0.000 6.286
Ag Ge O
5 1 4
Direct
0.000 0.000 0.000
0.316 0.316 0.161
0.333 0.333 0.723
0.667 0.667 0.277
0.684 0.684 0.839
0.000 0.000 0.500
0.133 0.133 0.533
0.486 0.486 0.292
0.514 0.514 0.708
0.867 0.867 0.467
```

---

Computed XRD peak list of Ag2Ge2O5 for copper Kα, from a DFT-relaxed cell (PBE, Alexandria).
Neutral-atom scattering factors, no anomalous dispersion.

The 6 most intense peaks (10 to 80 degrees two-theta), sorted by position:
25.63°, I = 65
27.84°, I = 100
35.71°, I = 33
36.62°, I = 43
38.36°, I = 20
45.99°, I = 28

Crystal structure
```
Ag2Ge2O5
1.0
5.050 -1.973 0.000
5.050 1.973 0.000
-0.631 0.000 6.952
Ag Ge O
2 2 5
Direct
0.135 0.135 0.494
0.865 0.865 0.506
0.346 0.346 0.097
0.654 0.654 0.903
0.191 0.191 0.937
0.352 0.352 0.350
0.500 0.500 0.000
0.648 0.648 0.650
0.809 0.809 0.063
```

---

Computed XRD peak list of PaAgGe2O8 for copper Kα, from a DFT-relaxed cell (PBE, Alexandria).
Neutral-atom scattering factors, no anomalous dispersion.

The 6 most intense peaks (10 to 80 degrees two-theta), sorted by position:
18.38°, I = 40
25.81°, I = 100
32.25°, I = 91
36.83°, I = 24
49.74°, I = 67
63.47°, I = 18

Crystal structure
```
PaAgGe2O8
1.0
-3.452 3.452 3.375
3.452 -3.452 3.375
3.452 3.452 -3.375
Pa Ag Ge O
1 1 2 8
Direct
0.000 0.000 0.000
0.250 0.750 0.500
0.500 0.500 0.000
0.750 0.250 0.500
0.310 0.129 0.819
0.310 0.491 0.181
0.387 0.083 0.304
0.509 0.690 0.819
0.779 0.083 0.696
0.871 0.690 0.181
0.917 0.221 0.304
0.917 0.613 0.696
```

---

Computed XRD peak list of PaAgGe2O7 for copper Kα, from a DFT-relaxed cell (PBE, Alexandria).
Neutral-atom scattering factors, no anomalous dispersion.

The 6 most intense peaks (10 to 80 degrees two-theta), sorted by position:
16.11°, I = 17
29.97°, I = 100
35.79°, I = 33
49.15°, I = 29
51.51°, I = 18
60.74°, I = 27

Crystal structure
```
PaAgGe2O7
1.0
3.548 0.000 0.000
0.000 3.548 0.000
0.000 0.000 11.003
Pa Ag Ge O
1 1 2 7
Direct
0.000 0.000 0.000
0.000 0.000 0.500
0.500 0.500 0.227
0.500 0.500 0.773
0.000 0.500 0.157
0.000 0.500 0.843
0.500 0.000 0.157
0.500 0.000 0.843
0.500 0.500 0.000
0.500 0.500 0.381
0.500 0.500 0.619
```

---

Computed XRD peak list of Pm2AgGeO6 for copper Kα, from a DFT-relaxed cell (PBE, Alexandria).
Neutral-atom scattering factors, no anomalous dispersion.

The 6 most intense peaks (10 to 80 degrees two-theta), sorted by position:
18.26°, I = 14
29.63°, I = 100
32.94°, I = 38
47.27°, I = 22
50.37°, I = 25
56.79°, I = 34

Crystal structure
```
Pm2AgGeO6
1.0
5.439 0.000 0.000
0.000 5.439 0.000
0.000 0.000 4.858
Pm Ag Ge O
2 1 1 6
Direct
0.000 0.500 0.000
0.500 0.000 0.000
0.000 0.000 0.565
0.500 0.500 0.590
0.000 0.000 0.112
0.272 0.272 0.722
0.272 0.728 0.722
0.500 0.500 0.223
0.728 0.272 0.722
0.728 0.728 0.722
```

---

Computed XRD peak list of PuAg2GeO6 for copper Kα, from a DFT-relaxed cell (PBE, Alexandria).
Neutral-atom scattering factors, no anomalous dispersion.

The 6 most intense peaks (10 to 80 degrees two-theta), sorted by position:
31.49°, I = 51
32.02°, I = 100
32.19°, I = 98
32.33°, I = 44
45.76°, I = 53
57.38°, I = 31

Crystal structure
```
PuAg2GeO6
1.0
4.784 -2.841 0.000
4.784 2.841 0.000
-3.174 0.000 4.538
Pu Ag Ge O
1 2 1 6
Direct
0.000 0.000 0.000
0.251 0.251 0.742
0.749 0.749 0.258
0.500 0.500 0.500
0.214 0.689 0.689
0.260 0.260 0.167
0.311 0.786 0.311
0.689 0.214 0.689
0.740 0.740 0.833
0.786 0.311 0.311
```

---

Computed XRD peak list of Ag6GeSO8 for copper Kα, from a DFT-relaxed cell (PBE, Alexandria).
Neutral-atom scattering factors, no anomalous dispersion.

The 6 most intense peaks (10 to 80 degrees two-theta), sorted by position:
31.72°, I = 100
35.77°, I = 26
37.24°, I = 11
51.49°, I = 12
53.76°, I = 20
61.75°, I = 18

Crystal structure
```
Ag6GeSO8
1.0
-3.550 3.550 9.294
3.550 -3.550 9.294
3.550 3.550 -9.294
Ag Ge S O
12 2 2 16
Direct
0.000 0.209 0.209
0.000 0.791 0.791
0.109 0.359 0.750
0.209 0.000 0.709
0.209 0.500 0.209
0.359 0.109 0.250
0.500 0.209 0.709
0.500 0.791 0.291
0.641 0.891 0.750
0.791 0.000 0.291
0.791 0.500 0.791
0.891 0.641 0.250
0.125 0.875 0.250
0.875 0.125 0.750
0.375 0.625 0.750
0.625 0.375 0.250
0.137 0.179 0.958
0.156 0.579 0.577
0.179 0.137 0.458
0.179 0.721 0.042
0.279 0.821 0.458
0.421 0.499 0.577
0.421 0.844 0.923
0.499 0.421 0.077
0.501 0.579 0.923
0.579 0.156 0.077
0.579 0.501 0.423
0.721 0.179 0.542
0.821 0.279 0.958
0.821 0.863 0.542
0.844 0.421 0.423
0.863 0.821 0.042
```

---

Computed XRD peak list of TaAgGeO5 for copper Kα, from a DFT-relaxed cell (PBE, Alexandria).
Neutral-atom scattering factors, no anomalous dispersion.

The 6 most intense peaks (10 to 80 degrees two-theta), sorted by position:
16.93°, I = 30
25.55°, I = 75
27.80°, I = 54
32.81°, I = 100
34.96°, I = 23
48.20°, I = 22

Crystal structure
```
TaAgGeO5
1.0
3.568 -4.527 0.000
3.568 4.527 0.000
-3.324 0.000 6.832
Ta Ag Ge O
2 2 2 10
Direct
0.000 0.000 0.000
0.000 0.000 0.500
0.325 0.675 0.750
0.675 0.325 0.250
0.320 0.680 0.250
0.680 0.320 0.750
0.059 0.941 0.750
0.125 0.711 0.394
0.241 0.358 0.100
0.289 0.875 0.106
0.358 0.241 0.600
0.642 0.759 0.400
0.711 0.125 0.894
0.759 0.642 0.900
0.875 0.289 0.606
0.941 0.059 0.250
```

---

Computed XRD peak list of UAg2GeO6 for copper Kα, from a DFT-relaxed cell (PBE, Alexandria).
Neutral-atom scattering factors, no anomalous dispersion.

The 6 most intense peaks (10 to 80 degrees two-theta), sorted by position:
16.08°, I = 20
30.69°, I = 100
32.48°, I = 44
46.59°, I = 25
53.40°, I = 20
56.83°, I = 35

Crystal structure
```
UAg2GeO6
1.0
5.513 0.000 0.000
0.000 5.513 0.000
0.000 0.000 4.385
U Ag Ge O
1 2 1 6
Direct
0.000 0.000 0.000
0.000 0.500 0.462
0.500 0.000 0.462
0.500 0.500 0.923
0.000 0.000 0.507
0.262 0.262 0.012
0.262 0.738 0.012
0.500 0.500 0.521
0.738 0.262 0.012
0.738 0.738 0.012
```

---

Computed XRD peak list of Ag3Sn2Ge3P6 for copper Kα, from a DFT-relaxed cell (PBE, Alexandria).
Neutral-atom scattering factors, no anomalous dispersion.

The 6 most intense peaks (10 to 80 degrees two-theta), sorted by position:
11.80°, I = 27
29.16°, I = 100
39.85°, I = 30
43.49°, I = 36
48.54°, I = 29
53.22°, I = 20

Crystal structure
```
Ag3Sn2Ge3P6
1.0
-5.305 5.305 5.305
5.305 -5.305 5.305
5.305 5.305 -5.305
Ag Sn Ge P
6 4 6 12
Direct
0.000 0.196 0.196
0.000 0.804 0.804
0.196 0.000 0.196
0.196 0.196 0.000
0.804 0.000 0.804
0.804 0.804 0.000
0.000 0.000 0.411
0.000 0.411 0.000
0.411 0.000 0.000
0.589 0.589 0.589
0.250 0.500 0.750
0.250 0.750 0.500
0.500 0.250 0.750
0.500 0.750 0.250
0.750 0.250 0.500
0.750 0.500 0.250
0.000 0.510 0.761
0.000 0.761 0.510
0.239 0.239 0.749
0.239 0.749 0.239
0.251 0.490 0.490
0.490 0.251 0.490
0.490 0.490 0.251
0.510 0.000 0.761
0.510 0.761 0.000
0.749 0.239 0.239
0.761 0.000 0.510
0.761 0.510 0.000
```

---

Computed XRD peak list of AgGePb3 for copper Kα, from a DFT-relaxed cell (PBE, Alexandria).
Neutral-atom scattering factors, no anomalous dispersion.

The 6 most intense peaks (10 to 80 degrees two-theta), sorted by position:
16.18°, I = 48
28.21°, I = 100
32.69°, I = 100
46.91°, I = 74
55.64°, I = 48
78.00°, I = 34

Crystal structure
```
AgGePb3
1.0
5.478 0.000 0.000
0.000 5.478 0.000
0.000 0.000 5.478
Ag Ge Pb
1 1 3
Direct
0.000 0.000 0.000
0.500 0.500 0.500
0.000 0.000 0.500
0.000 0.500 0.000
0.500 0.000 0.000
```